Record 1
The following is a simulated XRD peak list of KBa2Nb3O9. It was derived from DFT lattice parameters and positions (PBE), using copper Kα.

Principal peaks in the range 2θ = 10–90°, by angle:
h k l  d/Å  two_theta  Rel. int.
0 0 1  7.139  12.4  31
1 0 0  5.053  17.6  53
0 1 1  4.124  21.5  45
1 1 0  2.916  30.7  1000
0 2 1  2.381  37.8  43
2 0 2  2.062  43.9  335
3 0 0  1.684  54.5  395
2 2 0  1.458  63.8  200
3 1 2  1.304  72.5  172
0 4 2  1.191  80.7  66
4 1 0  1.102  88.7  156
1 1 6  1.102  88.8  50

Structure:
abc: 5.8348 5.8348 7.1386
angles: 90.00 90.00 120.00
Space group P-3m1 (No. 164)
Unique sites:
K 0.0000 0.0000 0.0000
Ba 0.3333 0.6667 0.6703
Nb 0.0000 0.0000 0.5000
Nb 0.3333 0.6667 0.1634
O 0.0000 0.5000 0.0000
O 0.1681 0.3362 0.3359


Record 2
The following is a simulated XRD peak list of K4BaNb5O15. It was derived from DFT lattice parameters and positions (PBE), using copper Kα.

Principal peaks in the range 2θ = 10–90°, by angle:
h k l  d/Å  two_theta  Rel. int.
2 0 0  8.325  10.6  28
1 1 0  5.448  16.3  27
1 1 1  4.078  21.8  192
2 0 2  2.884  31.0  1000
2 2 2  2.039  44.4  382
1 3 1  1.824  50.0  76
5 3 0  1.665  55.2  380
0 4 0  1.442  64.6  221
4 4 -1  1.359  69.1  33
2 4 2  1.290  73.4  161
8 4 -2  1.177  81.8  71
9 1 -6  1.090  90.0  49

Structure:
abc: 17.302 5.765 7.067
angles: 90.00 105.79 90.00
Space group C2/m (No. 12)
Unique sites:
K 0.100 0.000 0.401
K 0.200 0.500 0.800
Ba 0.000 0.500 0.000
Nb 0.000 0.500 0.500
Nb 0.102 0.000 0.900
Nb 0.202 0.500 0.304
O 0.000 0.000 0.000
O 0.050 0.251 0.702
O 0.099 0.500 0.398
O 0.149 0.251 0.099
O 0.200 0.000 0.800
O 0.250 0.250 0.500


Record 3
The following is a simulated XRD peak list of KBaNbS4. It was derived from DFT lattice parameters and positions (PBE), using copper Kα.

Principal peaks in the range 2θ = 10–90°, by angle:
h k l  d/Å  two_theta  Rel. int.
1 0 2  5.270  16.8  499
1 1 1  5.158  17.2  583
1 1 2  4.226  21.0  372
2 1 1  3.726  23.9  800
0 1 3  3.647  24.4  628
0 2 0  3.537  25.2  825
0 0 4  3.197  27.9  475
1 1 4  2.779  32.2  1000
1 2 3  2.612  34.3  486
2 2 2  2.579  34.8  394
0 4 0  1.769  51.7  319
2 2 6  1.699  54.0  319

Structure:
abc: 9.334 7.075 12.769
angles: 90.00 90.00 90.00
Space group Pnma (No. 62)
Unique sites:
K 0.136 0.250 0.075
Ba 0.021 0.750 0.324
Nb 0.229 0.250 0.423
S 0.016 0.750 0.583
S 0.181 0.010 0.841
S 0.194 0.750 0.094